For ZnNiP2O7, a structure optimized by DFT (PBE+U) gives the computed PXRD pattern in this record (Cu Kα (weighted mean of Kα1 and Kα2)).

Principal peaks in the range 2θ from 10° to 90°, low angle first:
d [Å]	2θ (°)	I_rel	(hkl)
4.943	17.9	14	0 1 1
4.389	20.2	15	0 1 -1
3.054	29.2	73	1 2 0
3.023	29.6	100	1 0 -2
2.995	29.8	21	0 2 0
2.661	33.7	20	2 0 0
2.502	35.9	14	1 2 2
2.154	41.9	18	2 0 2
2.072	43.7	15	-1 1 3
1.597	57.7	19	2 -1 3

Atomic structure:
Unit cell a=5.610 b=6.360 c=7.402 alpha=82.71 beta=87.77 gamma=71.60
Fractional coordinates of all 22 atoms:
Zn: 0.178 0.345 0.338
Zn: 0.822 0.655 0.662
Ni: 0.239 0.839 0.800
Ni: 0.761 0.161 0.200
P: 0.271 0.803 0.389
P: 0.312 0.313 0.904
P: 0.688 0.687 0.096
P: 0.729 0.197 0.611
O: 0.108 0.045 0.327
O: 0.116 0.643 0.427
O: 0.144 0.551 0.834
O: 0.196 0.134 0.883
O: 0.407 0.306 0.098
O: 0.437 0.723 0.217
O: 0.437 0.794 0.553
O: 0.563 0.206 0.447
O: 0.563 0.277 0.783
O: 0.593 0.694 0.902
O: 0.804 0.866 0.117
O: 0.856 0.449 0.166
O: 0.884 0.357 0.573
O: 0.892 0.955 0.673